For Re4SnSe7, DFT lattice parameters and positions (GGA-PBE) gives the theoretical PXRD pattern in this record (Cu Ka).
Lines closer than 0.1° are merged.

The 10 most intense peaks (10° ≤ 2θ ≤ 80°), in order of rising 2θ:
2theta	d_spacing	Rel. int.	index
17.21	5.151	70	0 1 0
21.87	4.063	90	3 0 1
32.34	2.768	88	0 0 2
34.83	2.576	62	0 2 0
38.21	2.355	56	4 0 2
38.41	2.344	95	6 1 1
39.90	2.259	100	2 2 1
40.20	2.243	95	8 0 0
43.70	2.071	87	4 2 1
49.52	1.841	65	6 2 1

Crystal structure
a b c (Å): 17.947 5.151 5.536
angles (deg): 90.00 90.00 90.00
Space group Pmn2_1 (No. 31)
One atom of each set of equivalent atoms:
Re 0.139 0.173 0.000 (multiplicity 4)
Re 0.242 0.137 0.629 (multiplicity 4)
Sn 0.000 0.765 0.433 (multiplicity 2)
Se 0.000 0.210 0.111 (multiplicity 2)
Se 0.104 0.205 0.579 (multiplicity 4)
Se 0.126 0.703 0.095 (multiplicity 4)
Se 0.246 0.671 0.698 (multiplicity 4)